1.
Computed powder diffraction line list
Compound: SmEr3Th4Se8
Radiation: Cu Ka
Structure: a crystal structure in Alexandria, relaxed with PBE

Principal peaks in the range 5° ≤ 2θ ≤ 70°, sorted by position:
d (Å)  I/Imax
3.553  10
3.319  24
2.922  100
2.119  40
2.017  35
1.820  5
1.777  8
1.754  8
1.724  4
1.660  19
1.461  12
1.396  2

a = 8.497 Å, b = 8.497 Å, c = 8.497 Å
α = 56.68°, β = 56.68°, γ = 56.68°
Positions (direct):
1 Sm 0.000 0.000 0.000
2 Er 0.000 0.500 0.500
3 Er 0.500 0.000 0.500
4 Er 0.500 0.500 0.000
5 Th 0.000 0.000 0.500
6 Th 0.000 0.500 0.000
7 Th 0.500 0.000 0.000
8 Th 0.500 0.500 0.500
9 Se 0.248 0.248 0.739
10 Se 0.248 0.739 0.248
11 Se 0.257 0.257 0.257
12 Se 0.261 0.752 0.752
13 Se 0.739 0.248 0.248
14 Se 0.743 0.743 0.743
15 Se 0.752 0.261 0.752
16 Se 0.752 0.752 0.261

***

2.
Computed powder diffraction line list
Compound: Sm2YErSe6
Radiation: Cu Ka
Structure: a crystal structure in Alexandria, relaxed with PBE

Principal peaks in the range 5° ≤ 2θ ≤ 70°, sorted by position:
d (Å)  I/Imax
5.297  42
3.859  55
3.642  33
3.178  73
2.649  40
2.426  100
2.142  35
2.103  66
1.864  34
1.589  25
1.510  13
1.387  13

a = 7.746 Å, b = 7.746 Å, c = 7.746 Å
α = 56.08°, β = 56.08°, γ = 56.08°
Positions (direct):
1 Sm 0.000 0.000 0.000
2 Sm 0.500 0.500 0.500
3 Y 0.199 0.199 0.199
4 Er 0.698 0.698 0.698
5 Se 0.087 0.806 0.413
6 Se 0.308 0.590 0.911
7 Se 0.413 0.087 0.806
8 Se 0.590 0.911 0.308
9 Se 0.806 0.413 0.087
10 Se 0.911 0.308 0.590

***

3.
Computed powder diffraction line list
Compound: Er5SnSe4
Radiation: Cu Ka
Structure: a crystal structure in Alexandria, relaxed with PBE

Principal peaks in the range 5° ≤ 2θ ≤ 70°, sorted by position:
d (Å)  I/Imax
3.359  18
2.909  100
2.057  75
1.754  9
1.679  26
1.455  8
1.453  4

a = 7.127 Å, b = 7.127 Å, c = 7.127 Å
α = 99.57°, β = 99.57°, γ = 131.87°
Positions (direct):
1 Er 0.000 0.000 0.000
2 Er 0.195 0.601 0.795
3 Er 0.399 0.195 0.594
4 Er 0.601 0.805 0.406
5 Er 0.805 0.399 0.205
6 Sn 0.500 0.500 0.000
7 Se 0.102 0.301 0.403
8 Se 0.301 0.898 0.198
9 Se 0.699 0.102 0.802
10 Se 0.898 0.699 0.597

***

4.
Computed powder diffraction line list
Compound: Er8SnSe6
Radiation: Cu Ka
Structure: a crystal structure in Alexandria, relaxed with PBE

Principal peaks in the range 5° ≤ 2θ ≤ 70°, sorted by position:
d (Å)  I/Imax
3.171  71
3.021  100
2.993  58
2.598  95
2.513  46
2.187  66
1.994  24
1.843  44
1.772  13
1.713  11
1.664  21
1.562  18

a = 10.464 Å, b = 10.464 Å, c = 3.988 Å
α = 90.00°, β = 90.00°, γ = 120.00°
Positions (direct):
1 Er 0.035 0.717 0.252
2 Er 0.283 0.319 0.252
3 Er 0.319 0.035 0.748
4 Er 0.333 0.667 0.749
5 Er 0.667 0.333 0.251
6 Er 0.681 0.965 0.252
7 Er 0.717 0.681 0.748
8 Er 0.965 0.283 0.748
9 Sn 0.000 0.000 0.500
10 Se 0.131 0.483 0.251
11 Se 0.352 0.869 0.251
12 Se 0.483 0.352 0.749
13 Se 0.517 0.648 0.251
14 Se 0.648 0.131 0.749
15 Se 0.869 0.517 0.749

***

> Number 2 is which compound?

Sm2YErSe6